Record 1
Computed X-ray powder pattern
Compound: SnP4O12
Radiation: a wavelength of 1.5418 Å
Structure: the PBE geometry in Alexandria
Peak positions follow from Bragg's law for the DFT cell and can differ from measured ones.

Most intense lines, 2θ = 5–70°, in order of rising 2θ:
(1 1 0), 2θ = 13.44°, d 6.589, I 57; (2 0 0), 2θ = 16.85°, d 5.262, I 43; (1 1 -2), 2θ = 20.04°, d 4.431, I 100; (0 2 0), 2θ = 21.03°, d 4.225, I 14; (3 1 -2), 2θ = 25.21°, d 3.533, I 31; (2 2 -1), 2θ = 25.66°, d 3.472, I 14; (3 1 0), 2θ = 27.53°, d 3.240, I 46; (0 2 2), 2θ = 28.99°, d 3.080, I 55; (4 0 0), 2θ = 34.08°, d 2.631, I 19; (4 2 -2), 2θ = 36.35°, d 2.472, I 30

Cell and atoms:
a = 12.229 Å, b = 8.450 Å, c = 10.455 Å
α = 90.00°, β = 120.62°, γ = 90.00°
Space group C2/c (No. 15)
Symmetry-distinct sites (fractional):
Sn1 0.000 0.048 0.250
P1 0.002 0.262 0.977
P2 0.204 0.489 0.181
O1 0.020 0.225 0.397
O2 0.028 0.125 0.904
O3 0.110 0.361 0.649
O4 0.120 0.380 0.033
O5 0.192 0.051 0.345
O6 0.235 0.414 0.321

=====

Record 2
Computed X-ray powder pattern
Compound: SnP2O7
Radiation: a wavelength of 1.5418 Å
Structure: the PBE geometry in Alexandria
Peak positions follow from Bragg's law for the DFT cell and can differ from measured ones.

Most intense lines, 2θ = 5–70°, in order of rising 2θ:
(0 0 2), 2θ = 14.17°, d 6.248, I 45; (2 0 0), 2θ = 22.15°, d 4.013, I 100; (1 1 2), 2θ = 27.58°, d 3.234, I 6; (2 0 2), 2θ = 31.22°, d 2.865, I 31; (0 2 0), 2θ = 34.82°, d 2.577, I 8; (3 1 -2), 2θ = 35.09°, d 2.557, I 11; (1 1 4), 2θ = 39.19°, d 2.299, I 6; (4 0 0), 2θ = 45.19°, d 2.006, I 9; (4 0 2), 2θ = 53.62°, d 1.709, I 7; (1 3 -2), 2θ = 55.37°, d 1.659, I 5

Cell and atoms:
a = 8.837 Å, b = 5.154 Å, c = 13.773 Å
α = 90.00°, β = 114.87°, γ = 90.00°
Space group P2_1/c (No. 14)
Symmetry-distinct sites (fractional):
Sn1 0.236 0.246 0.478
P1 0.180 0.742 0.120
P2 0.338 0.746 0.363
O1 0.012 0.673 0.615
O2 0.179 0.043 0.587
O3 0.217 0.568 0.881
O4 0.252 0.584 0.560
O5 0.302 0.040 0.875
O6 0.313 0.727 0.741
O7 0.481 0.173 0.574

=====

Please write out number 2 again, unchanged.
Computed X-ray powder pattern
Compound: SnP2O7
Radiation: a wavelength of 1.5418 Å
Structure: the PBE geometry in Alexandria
Peak positions follow from Bragg's law for the DFT cell and can differ from measured ones.

Most intense lines, 2θ = 5–70°, in order of rising 2θ:
(0 0 2), 2θ = 14.17°, d 6.248, I 45; (2 0 0), 2θ = 22.15°, d 4.013, I 100; (1 1 2), 2θ = 27.58°, d 3.234, I 6; (2 0 2), 2θ = 31.22°, d 2.865, I 31; (0 2 0), 2θ = 34.82°, d 2.577, I 8; (3 1 -2), 2θ = 35.09°, d 2.557, I 11; (1 1 4), 2θ = 39.19°, d 2.299, I 6; (4 0 0), 2θ = 45.19°, d 2.006, I 9; (4 0 2), 2θ = 53.62°, d 1.709, I 7; (1 3 -2), 2θ = 55.37°, d 1.659, I 5

Cell and atoms:
a = 8.837 Å, b = 5.154 Å, c = 13.773 Å
α = 90.00°, β = 114.87°, γ = 90.00°
Space group P2_1/c (No. 14)
Symmetry-distinct sites (fractional):
Sn1 0.236 0.246 0.478
P1 0.180 0.742 0.120
P2 0.338 0.746 0.363
O1 0.012 0.673 0.615
O2 0.179 0.043 0.587
O3 0.217 0.568 0.881
O4 0.252 0.584 0.560
O5 0.302 0.040 0.875
O6 0.313 0.727 0.741
O7 0.481 0.173 0.574